[1]
Theoretical PXRD pattern
Compound: La2NdZn3
Radiation: Cu Ka
Structure: a crystal structure in Alexandria, relaxed with PBE
No peak broadening, texture or thermal motion is included.

Crystal structure
Cell: 5.282 5.282 6.478 Å, 90.00 90.00 120.00°
Sites, in units of the cell vectors:
La 0.333 0.667 0.168
La 0.667 0.333 0.832
Nd 0.000 0.000 0.500
Zn 0.000 0.000 0.000
Zn 0.333 0.667 0.663
Zn 0.667 0.333 0.337

Top 6 peaks for 5 to 70 degrees two-theta, by intensity:
- d = 2.642 Å, I 100.0
- d = 1.525 Å, I 36.3
- d = 1.868 Å, I 17.8
- d = 3.736 Å, I 12.7
- d = 1.671 Å, I 5.4
- d = 2.157 Å, I 3.9

***

[2]
Theoretical PXRD pattern
Compound: CeNp4Se6
Radiation: Cu Ka
Structure: a crystal structure in Alexandria, relaxed with PBE
No peak broadening, texture or thermal motion is included.

Crystal structure
Cell: 7.056 7.056 20.737 Å, 90.00 90.00 146.24°
Sites, in units of the cell vectors:
Ce 0.159 0.841 0.750
Ce 0.841 0.159 0.250
Np 0.090 0.910 0.127
Np 0.090 0.910 0.373
Np 0.360 0.640 0.040
Np 0.360 0.640 0.460
Np 0.640 0.360 0.540
Np 0.640 0.360 0.960
Np 0.910 0.090 0.627
Np 0.910 0.090 0.873
Se 0.000 0.000 0.000
Se 0.000 0.000 0.500
Se 0.185 0.815 0.250
Se 0.269 0.731 0.591
Se 0.269 0.731 0.909
Se 0.452 0.548 0.167
Se 0.452 0.548 0.333
Se 0.548 0.452 0.667
Se 0.548 0.452 0.833
Se 0.731 0.269 0.091
Se 0.731 0.269 0.409
Se 0.815 0.185 0.750

Top 6 peaks for 5 to 70 degrees two-theta, by intensity:
- d = 2.908 Å, I 100.0
- d = 3.534 Å, I 82.0
- d = 2.066 Å, I 76.5
- d = 2.775 Å, I 73.4
- d = 2.998 Å, I 57.4
- d = 2.162 Å, I 51.2

***

[3]
Theoretical PXRD pattern
Compound: Mg5In2
Radiation: Cu Ka
Structure: a crystal structure in Alexandria, relaxed with PBE
No peak broadening, texture or thermal motion is included.

Crystal structure
Cell: 8.606 8.606 8.606 Å, 128.99 68.34 137.73°
Sites, in units of the cell vectors:
Mg 0.017 0.250 0.767
Mg 0.087 0.662 0.750
Mg 0.250 0.250 0.000
Mg 0.413 0.162 0.575
Mg 0.483 0.250 0.233
Mg 0.517 0.750 0.767
Mg 0.587 0.838 0.425
Mg 0.750 0.750 0.000
Mg 0.913 0.338 0.250
Mg 0.983 0.750 0.233
In 0.122 0.268 0.390
In 0.378 0.768 0.146
In 0.622 0.232 0.854
In 0.878 0.732 0.610

Top 6 peaks for 5 to 70 degrees two-theta, by intensity:
- d = 3.956 Å, I 100.0
- d = 2.567 Å, I 42.8
- d = 2.379 Å, I 39.1
- d = 2.339 Å, I 37.5
- d = 2.185 Å, I 27.3
- d = 2.124 Å, I 26.5

***

[4]
Theoretical PXRD pattern
Compound: CaZr4O9
Radiation: Cu Ka
Structure: a crystal structure in Alexandria, relaxed with PBE
No peak broadening, texture or thermal motion is included.

Crystal structure
Cell: 16.732 16.732 6.176 Å, 92.01 92.01 12.06°
Sites, in units of the cell vectors:
Ca 0.000 0.000 0.000
Ca 0.500 0.500 0.500
Zr 0.086 0.086 0.666
Zr 0.191 0.191 0.395
Zr 0.293 0.293 0.118
Zr 0.395 0.395 0.829
Zr 0.605 0.605 0.171
Zr 0.707 0.707 0.882
Zr 0.809 0.809 0.605
Zr 0.914 0.914 0.334
O 0.026 0.026 0.692
O 0.072 0.072 0.058
O 0.128 0.128 0.393
O 0.182 0.182 0.757
O 0.230 0.230 0.121
O 0.285 0.285 0.479
O 0.332 0.332 0.844
O 0.391 0.391 0.187
O 0.433 0.433 0.565
O 0.567 0.567 0.435
O 0.609 0.609 0.813
O 0.668 0.668 0.156
O 0.715 0.715 0.521
O 0.770 0.770 0.879
O 0.818 0.818 0.243
O 0.872 0.872 0.607
O 0.928 0.928 0.942
O 0.974 0.974 0.308

Top 6 peaks for 5 to 70 degrees two-theta, by intensity:
- d = 2.930 Å, I 100.0
- d = 3.326 Å, I 38.3
- d = 16.629 Å, I 24.5
- d = 1.944 Å, I 19.5
- d = 1.776 Å, I 19.5
- d = 2.590 Å, I 16.8

***

[5]
Theoretical PXRD pattern
Compound: Tb2Pr6Tm3
Radiation: Cu Ka
Structure: a crystal structure in Alexandria, relaxed with PBE
No peak broadening, texture or thermal motion is included.

Crystal structure
Cell: 6.272 8.079 8.127 Å, 107.34 97.39 104.93°
Sites, in units of the cell vectors:
Tb 0.230 0.412 0.047
Tb 0.770 0.588 0.953
Pr 0.048 0.682 0.408
Pr 0.136 0.047 0.231
Pr 0.321 0.771 0.866
Pr 0.679 0.229 0.134
Pr 0.864 0.953 0.769
Pr 0.952 0.318 0.592
Tm 0.410 0.139 0.682
Tm 0.500 0.500 0.500
Tm 0.590 0.861 0.318

Top 6 peaks for 5 to 70 degrees two-theta, by intensity:
- d = 2.963 Å, I 100.0
- d = 2.955 Å, I 99.3
- d = 2.566 Å, I 67.6
- d = 1.809 Å, I 36.0
- d = 2.556 Å, I 33.4
- d = 1.545 Å, I 28.6

***

[6]
Theoretical PXRD pattern
Compound: Tb3NdY8
Radiation: Cu Ka
Structure: a crystal structure in Alexandria, relaxed with PBE
No peak broadening, texture or thermal motion is included.

Crystal structure
Cell: 8.403 8.403 8.403 Å, 117.54 117.54 94.32°
Sites, in units of the cell vectors:
Tb 0.000 0.000 0.000
Tb 0.250 0.750 0.500
Tb 0.750 0.250 0.500
Nd 0.500 0.500 0.000
Y 0.120 0.120 0.748
Y 0.237 0.237 0.491
Y 0.254 0.763 0.000
Y 0.373 0.373 0.252
Y 0.627 0.880 0.000
Y 0.746 0.746 0.509
Y 0.763 0.254 0.000
Y 0.880 0.627 0.000

Top 6 peaks for 5 to 70 degrees two-theta, by intensity:
- d = 2.482 Å, I 100.0
- d = 3.081 Å, I 67.6
- d = 4.190 Å, I 57.7
- d = 2.857 Å, I 51.2
- d = 2.095 Å, I 44.5
- d = 3.688 Å, I 30.4

***

[7]
Theoretical PXRD pattern
Compound: SrFePPb
Radiation: Cu Ka
Structure: a crystal structure in Alexandria, relaxed with PBE
No peak broadening, texture or thermal motion is included.

Crystal structure
Cell: 4.092 4.092 11.139 Å, 90.00 90.00 90.00°
Sites, in units of the cell vectors:
Sr 0.250 0.250 0.226
Sr 0.750 0.750 0.774
Fe 0.250 0.750 0.000
Fe 0.750 0.250 0.000
P 0.250 0.250 0.907
P 0.750 0.750 0.093
Pb 0.250 0.750 0.500
Pb 0.750 0.250 0.500

Top 6 peaks for 5 to 70 degrees two-theta, by intensity:
- d = 2.568 Å, I 100.0
- d = 11.139 Å, I 58.0
- d = 5.569 Å, I 54.2
- d = 2.800 Å, I 37.7
- d = 2.046 Å, I 33.2
- d = 2.785 Å, I 27.4

***

[8]
Theoretical PXRD pattern
Compound: AcLa3PmTm
Radiation: Cu Ka
Structure: a crystal structure in Alexandria, relaxed with PBE
No peak broadening, texture or thermal motion is included.

Crystal structure
Cell: 8.259 5.307 10.609 Å, 90.00 108.80 90.00°
Sites, in units of the cell vectors:
Ac 0.173 0.250 0.295
Ac 0.827 0.750 0.705
La 0.172 0.750 0.041
La 0.173 0.750 0.545
La 0.174 0.250 0.792
La 0.826 0.750 0.208
La 0.827 0.250 0.455
La 0.828 0.250 0.959
Pm 0.498 0.750 0.875
Pm 0.502 0.250 0.125
Tm 0.499 0.250 0.625
Tm 0.501 0.750 0.375

Top 6 peaks for 5 to 70 degrees two-theta, by intensity:
- d = 3.045 Å, I 100.0
- d = 2.653 Å, I 34.6
- d = 1.597 Å, I 29.9
- d = 1.859 Å, I 18.2
- d = 2.606 Å, I 16.3
- d = 1.577 Å, I 14.1

***

[9]
Theoretical PXRD pattern
Compound: AlCu2Mo
Radiation: Cu Ka
Structure: a crystal structure in Alexandria, relaxed with PBE
No peak broadening, texture or thermal motion is included.

Crystal structure
Cell: 2.721 4.521 8.930 Å, 90.00 90.00 90.00°
Sites, in units of the cell vectors:
Al 0.000 0.000 0.000
Al 0.500 0.500 0.500
Cu 0.000 0.000 0.470
Cu 0.000 0.500 0.736
Cu 0.500 0.000 0.236
Cu 0.500 0.500 0.970
Mo 0.000 0.500 0.236
Mo 0.500 0.000 0.736

Top 6 peaks for 5 to 70 degrees two-theta, by intensity:
- d = 2.067 Å, I 100.0
- d = 2.261 Å, I 33.5
- d = 2.232 Å, I 30.6
- d = 1.588 Å, I 19.9
- d = 4.465 Å, I 15.5
- d = 4.034 Å, I 9.4

***

[10]
Theoretical PXRD pattern
Compound: Li5Al2O6
Radiation: Cu Ka
Structure: a crystal structure in Alexandria, relaxed with PBE
No peak broadening, texture or thermal motion is included.

Crystal structure
Cell: 5.141 5.141 11.189 Å, 94.46 94.46 79.31°
Sites, in units of the cell vectors:
Li 0.063 0.937 0.750
Li 0.117 0.837 0.073
Li 0.163 0.883 0.427
Li 0.221 0.421 0.300
Li 0.421 0.221 0.800
Li 0.579 0.779 0.200
Li 0.779 0.579 0.700
Li 0.837 0.117 0.573
Li 0.883 0.163 0.927
Li 0.937 0.063 0.250
Al 0.201 0.412 0.571
Al 0.412 0.201 0.071
Al 0.588 0.799 0.929
Al 0.799 0.588 0.429
O 0.028 0.269 0.439
O 0.102 0.266 0.693
O 0.266 0.102 0.193
O 0.269 0.028 0.939
O 0.399 0.543 0.091
O 0.457 0.601 0.409
O 0.543 0.399 0.591
O 0.601 0.457 0.909
O 0.731 0.972 0.061
O 0.734 0.898 0.807
O 0.898 0.734 0.307
O 0.972 0.731 0.561

Top 6 peaks for 5 to 70 degrees two-theta, by intensity:
- d = 4.485 Å, I 100.0
- d = 4.708 Å, I 58.2
- d = 3.622 Å, I 48.6
- d = 5.566 Å, I 40.0
- d = 2.389 Å, I 38.7
- d = 2.060 Å, I 22.7